VO2: calculated powder XRD pattern (Cu Kα (weighted mean of Kα1 and Kα2)), based on the PBE+U geometry in the Materials Project.
Lines closer than 0.1° are merged.

Principal peaks in the range 2θ = 10–80°, most intense first:
2θ (°)	I_rel
18.34	1000
43.13	327
35.50	203
62.69	166
43.29	162
57.06	108
35.59	103
62.78	83
47.28	74
79.20	71

Structure:
Lattice parameters (Å, degrees): 5.924 5.924 5.920 119.89 119.89 90.23
Fractional coordinates of all 12 atoms:
V: 0.000 0.000 0.000
V: 0.000 0.000 0.500
V: 0.000 0.500 0.000
V: 0.500 0.000 0.500
O: 0.201 0.234 0.962
O: 0.229 0.762 0.027
O: 0.234 0.201 0.462
O: 0.238 0.771 0.473
O: 0.762 0.229 0.527
O: 0.766 0.799 0.538
O: 0.771 0.238 0.973
O: 0.799 0.766 0.038



V6O13: calculated powder XRD pattern (Cu Kα (weighted mean of Kα1 and Kα2)), based on the PBE+U geometry in the Materials Project.
Lines closer than 0.1° are merged.

Principal peaks in the range 2θ = 10–80°, most intense first:
2θ (°)	I_rel
25.20	1000
26.59	850
14.64	705
29.53	581
32.88	483
48.44	441
44.95	392
33.46	370
45.08	354
17.64	347

Structure:
Lattice parameters (Å, degrees): 11.735 11.735 3.758 90.00 90.00 62.07
Fractional coordinates of all 38 atoms:
V: 0.078 0.289 0.250
V: 0.099 0.901 0.750
V: 0.220 0.415 0.750
V: 0.289 0.078 0.750
V: 0.398 0.602 0.750
V: 0.415 0.220 0.250
V: 0.585 0.780 0.750
V: 0.602 0.398 0.250
V: 0.711 0.922 0.250
V: 0.780 0.585 0.250
V: 0.901 0.099 0.250
V: 0.922 0.711 0.750
O: 0.003 0.197 0.250
O: 0.047 0.557 0.750
O: 0.073 0.927 0.250
O: 0.128 0.275 0.750
O: 0.197 0.003 0.750
O: 0.225 0.368 0.250
O: 0.255 0.745 0.750
O: 0.275 0.128 0.250
O: 0.304 0.498 0.750
O: 0.368 0.225 0.750
O: 0.432 0.568 0.250
O: 0.443 0.953 0.750
O: 0.498 0.304 0.250
O: 0.502 0.696 0.750
O: 0.557 0.047 0.250
O: 0.568 0.432 0.750
O: 0.632 0.775 0.250
O: 0.696 0.502 0.250
O: 0.725 0.872 0.750
O: 0.745 0.255 0.250
O: 0.775 0.632 0.750
O: 0.803 0.997 0.250
O: 0.872 0.725 0.250
O: 0.927 0.073 0.750
O: 0.953 0.443 0.250
O: 0.997 0.803 0.750



Repeat the second record exactly.
V6O13: calculated powder XRD pattern (Cu Kα (weighted mean of Kα1 and Kα2)), based on the PBE+U geometry in the Materials Project.
Lines closer than 0.1° are merged.

Principal peaks in the range 2θ = 10–80°, most intense first:
2θ (°)	I_rel
25.20	1000
26.59	850
14.64	705
29.53	581
32.88	483
48.44	441
44.95	392
33.46	370
45.08	354
17.64	347

Structure:
Lattice parameters (Å, degrees): 11.735 11.735 3.758 90.00 90.00 62.07
Fractional coordinates of all 38 atoms:
V: 0.078 0.289 0.250
V: 0.099 0.901 0.750
V: 0.220 0.415 0.750
V: 0.289 0.078 0.750
V: 0.398 0.602 0.750
V: 0.415 0.220 0.250
V: 0.585 0.780 0.750
V: 0.602 0.398 0.250
V: 0.711 0.922 0.250
V: 0.780 0.585 0.250
V: 0.901 0.099 0.250
V: 0.922 0.711 0.750
O: 0.003 0.197 0.250
O: 0.047 0.557 0.750
O: 0.073 0.927 0.250
O: 0.128 0.275 0.750
O: 0.197 0.003 0.750
O: 0.225 0.368 0.250
O: 0.255 0.745 0.750
O: 0.275 0.128 0.250
O: 0.304 0.498 0.750
O: 0.368 0.225 0.750
O: 0.432 0.568 0.250
O: 0.443 0.953 0.750
O: 0.498 0.304 0.250
O: 0.502 0.696 0.750
O: 0.557 0.047 0.250
O: 0.568 0.432 0.750
O: 0.632 0.775 0.250
O: 0.696 0.502 0.250
O: 0.725 0.872 0.750
O: 0.745 0.255 0.250
O: 0.775 0.632 0.750
O: 0.803 0.997 0.250
O: 0.872 0.725 0.250
O: 0.927 0.073 0.750
O: 0.953 0.443 0.250
O: 0.997 0.803 0.750



- What is the formula in the first record?
  VO2



- Which formula does entry 2 have?
  V6O13